No. 1
The following is a theoretical XRD peak list of Pm12Si6Cl. It was derived from a structure optimized by DFT (PBE), using Cu Kα X-rays.

Largest 10 diffraction maxima, low angle first, 5 to 70 degrees two-theta:
two_theta, intensity
23.9, 16.4
25.8, 100.0
27.7, 14.8
30.9, 30.1
32.6, 43.2
36.8, 37.1
36.9, 47.0
51.1, 16.6
53.1, 16.5
54.1, 16.9

Structural model:
Lattice parameters (Å, degrees): 8.4401 8.4401 8.4401 99.47 99.47 99.47
Atoms (fractional coordinates):
Pm1 0.0400 0.9254 0.6735
Pm2 0.0746 0.3265 0.9600
Pm3 0.1828 0.5622 0.4220
Pm4 0.3265 0.9600 0.0746
Pm5 0.4220 0.1828 0.5622
Pm6 0.4378 0.5780 0.8172
Pm7 0.5622 0.4220 0.1828
Pm8 0.5780 0.8172 0.4378
Pm9 0.6735 0.0400 0.9254
Pm10 0.8172 0.4378 0.5780
Pm11 0.9254 0.6735 0.0400
Pm12 0.9600 0.0746 0.3265
Si1 0.1283 0.3002 0.6246
Si2 0.3002 0.6246 0.1283
Si3 0.3754 0.8717 0.6998
Si4 0.6246 0.1283 0.3002
Si5 0.6998 0.3754 0.8717
Si6 0.8717 0.6998 0.3754
Cl1 0.0000 0.0000 0.0000


No. 2
The following is a theoretical XRD peak list of Tm4SbAs2Se. It was derived from a structure optimized by DFT (PBE), using Cu Kα X-rays.

Largest 10 diffraction maxima, low angle first, 5 to 70 degrees two-theta:
two_theta, intensity
26.3, 4.2
26.5, 13.4
30.6, 100.0
43.8, 36.4
44.0, 37.5
52.0, 5.7
54.2, 6.1
54.6, 19.7
63.8, 7.9
63.9, 3.9

Structural model:
Lattice parameters (Å, degrees): 7.1286 4.1187 7.1683 90.00 109.27 90.00
Atoms (fractional coordinates):
Tm1 0.2415 0.0000 0.2341
Tm2 0.2528 0.5000 0.7648
Tm3 0.7472 0.5000 0.2352
Tm4 0.7585 0.0000 0.7659
Sb1 0.5000 0.5000 0.5000
As1 0.0000 0.5000 0.0000
As2 0.5000 0.0000 0.0000
Se1 0.0000 0.0000 0.5000


No. 3
The following is a theoretical XRD peak list of InH4NCl4. It was derived from a structure optimized by DFT (PBE), using Cu Kα X-rays.

Largest 10 diffraction maxima, low angle first, 5 to 70 degrees two-theta:
two_theta, intensity
13.5, 98.8
20.8, 100.0
21.4, 37.7
28.0, 35.5
29.3, 19.8
34.1, 48.3
34.7, 20.9
40.7, 20.9
40.9, 26.3
53.8, 19.8

Structural model:
Lattice parameters (Å, degrees): 9.1564 9.1564 9.1564 133.00 133.00 68.65
Atoms (fractional coordinates):
In1 0.3750 0.1250 0.2500
In2 0.6250 0.8750 0.7500
H1 0.0244 0.6290 0.3235
H2 0.1290 0.3055 0.6045
H3 0.1945 0.2990 0.8235
H4 0.2010 0.5244 0.8955
H5 0.7990 0.4756 0.1045
H6 0.8055 0.7010 0.1765
H7 0.8710 0.6945 0.3955
H8 0.9756 0.3710 0.6765
N1 0.1250 0.3750 0.7500
N2 0.8750 0.6250 0.2500
Cl1 0.1370 0.2695 0.3298
Cl2 0.2305 0.0603 0.8675
Cl3 0.3072 0.6370 0.3675
Cl4 0.4397 0.8072 0.1702
Cl5 0.5603 0.1928 0.8298
Cl6 0.6928 0.3630 0.6325
Cl7 0.7695 0.9397 0.1325
Cl8 0.8630 0.7305 0.6702


No. 4
The following is a theoretical XRD peak list of Tb8Nd3Th. It was derived from a structure optimized by DFT (PBE), using Cu Kα X-rays.

Largest 10 diffraction maxima, low angle first, 5 to 70 degrees two-theta:
two_theta, intensity
14.2, 39.1
23.9, 61.7
25.6, 40.2
28.7, 79.3
31.4, 70.3
32.8, 62.4
35.9, 100.0
43.0, 51.9
44.1, 65.1
68.7, 32.5

Structural model:
Lattice parameters (Å, degrees): 8.4426 8.4426 8.4426 117.12 117.12 95.07
Atoms (fractional coordinates):
Tb1 0.1268 0.1268 0.7521
Tb2 0.2461 0.7345 0.0000
Tb3 0.2655 0.2655 0.5116
Tb4 0.3748 0.3748 0.2479
Tb5 0.6252 0.8732 0.0000
Tb6 0.7345 0.2461 0.0000
Tb7 0.7539 0.7539 0.4884
Tb8 0.8732 0.6252 0.0000
Nd1 0.2500 0.7500 0.5000
Nd2 0.5000 0.5000 0.0000
Nd3 0.7500 0.2500 0.5000
Th1 0.0000 0.0000 0.0000


No. 5
The following is a theoretical XRD peak list of Ho4Fe. It was derived from a structure optimized by DFT (PBE), using Cu Kα X-rays.

Largest 10 diffraction maxima, low angle first, 5 to 70 degrees two-theta:
two_theta, intensity
16.9, 3.1
24.1, 2.6
29.6, 100.0
34.3, 73.6
38.5, 1.5
42.3, 1.1
49.3, 52.9
52.5, 0.7
58.5, 44.8
61.4, 18.2

Structural model:
Lattice parameters (Å, degrees): 5.2327 5.2327 5.2327 90.00 90.00 90.00
Atoms (fractional coordinates):
Ho1 0.0000 0.0000 0.0000
Ho2 0.0000 0.5000 0.5000
Ho3 0.5000 0.0000 0.5000
Ho4 0.5000 0.5000 0.0000
Fe1 0.5000 0.5000 0.5000


No. 6
The following is a theoretical XRD peak list of SmYSiAu. It was derived from a structure optimized by DFT (PBE), using Cu Kα X-rays.

Largest 7 diffraction maxima, low angle first, 5 to 70 degrees two-theta:
two_theta, intensity
21.3, 32.9
35.2, 100.0
41.5, 19.1
50.6, 17.8
55.5, 8.3
63.1, 36.5
67.4, 6.2

Structural model:
Lattice parameters (Å, degrees): 5.1056 5.1056 5.1056 60.00 60.00 60.00
Atoms (fractional coordinates):
Sm1 0.0000 0.0000 0.0000
Y1 0.5000 0.5000 0.5000
Si1 0.2500 0.2500 0.2500
Au1 0.7500 0.7500 0.7500


No. 7
The following is a theoretical XRD peak list of HgPb2S3. It was derived from a structure optimized by DFT (PBE), using Cu Kα X-rays.

Largest 10 diffraction maxima, low angle first, 5 to 70 degrees two-theta:
two_theta, intensity
26.3, 100.0
29.9, 36.1
30.8, 66.6
43.5, 52.0
44.0, 12.6
51.0, 18.1
52.0, 17.1
52.1, 17.4
54.1, 13.8
54.3, 13.3

Structural model:
Lattice parameters (Å, degrees): 7.1394 7.1394 7.1394 146.47 130.55 61.07
Atoms (fractional coordinates):
Hg1 0.0000 0.0000 0.0000
Pb1 0.3342 0.3342 0.0000
Pb2 0.6658 0.6658 0.0000
S1 0.1521 0.6521 0.5000
S2 0.5000 0.0000 0.5000
S3 0.8479 0.3479 0.5000


No. 8
The following is a theoretical XRD peak list of Sm14YHo. It was derived from a structure optimized by DFT (PBE), using Cu Kα X-rays.

Largest 8 diffraction maxima, low angle first, 5 to 70 degrees two-theta:
two_theta, intensity
30.2, 100.0
35.0, 33.9
35.2, 16.7
50.3, 12.1
50.5, 24.0
59.9, 28.8
60.1, 14.2
62.9, 12.4

Structural model:
Lattice parameters (Å, degrees): 7.2500 7.2500 10.2072 90.00 90.00 90.00
Atoms (fractional coordinates):
Sm1 0.0000 0.0000 0.0000
Sm2 0.0000 0.5000 0.0000
Sm3 0.0000 0.5000 0.5000
Sm4 0.2505 0.2505 0.2512
Sm5 0.2505 0.2505 0.7488
Sm6 0.2505 0.7495 0.2512
Sm7 0.2505 0.7495 0.7488
Sm8 0.5000 0.0000 0.0000
Sm9 0.5000 0.0000 0.5000
Sm10 0.5000 0.5000 0.0000
Sm11 0.7495 0.2505 0.2512
Sm12 0.7495 0.2505 0.7488
Sm13 0.7495 0.7495 0.2512
Sm14 0.7495 0.7495 0.7488
Y1 0.0000 0.0000 0.5000
Ho1 0.5000 0.5000 0.5000